Record 1
This entry pairs a crystal structure of DyGe4Rh6 with its simulated powder diffraction line list. Radiation: Cu Kα, 1.54184 Å. Structure: a structure optimized by DFT (PBE).

Structural model:
Cell lengths 7.2257, 7.2257, 3.8322 Å; angles 90.00, 90.00, 120.00 degrees
Space group P-6m2 (No. 187)
Inequivalent atoms, fractional coordinates:
Dy  0.0000  0.0000  0.0000 x1
Ge  0.3333  0.6667  0.0000 x1
Ge  0.3931  0.1966  0.5000 x3
Rh  0.1981  0.3963  0.5000 x3
Rh  0.5334  0.0668  0.0000 x3

Main lines, in order of rising 2θ (2θ = 10–80°):
- 2θ 34.1, rel. 26
- 2θ 37.1, rel. 100
- 2θ 38.0, rel. 34
- 2θ 45.0, rel. 30
- 2θ 47.4, rel. 24
- 2θ 49.8, rel. 14
- 2θ 50.5, rel. 27
- 2θ 58.4, rel. 8
- 2θ 62.4, rel. 16
- 2θ 71.8, rel. 18

***

Record 2
This entry pairs a crystal structure of Dy3Ge2Rh5 with its simulated powder diffraction line list. Radiation: Cu Kα, 1.54184 Å. Structure: a structure optimized by DFT (PBE).

Structural model:
Cell lengths 9.9494, 9.9494, 3.6712 Å; angles 90.00, 90.00, 90.00 degrees
Space group P4/mbm (No. 127)
Inequivalent atoms, fractional coordinates:
Dy  0.0000  0.0000  0.0000 x2
Dy  0.1731  0.3269  0.0000 x4
Ge  0.1234  0.6234  0.0000 x4
Rh  0.0000  0.5000  0.5000 x2
Rh  0.0701  0.7836  0.5000 x8

Main lines, in order of rising 2θ (2θ = 10–80°):
- 2θ 31.6, rel. 29
- 2θ 35.3, rel. 28
- 2θ 37.3, rel. 43
- 2θ 37.7, rel. 100
- 2θ 40.5, rel. 24
- 2θ 40.9, rel. 29
- 2θ 49.7, rel. 22
- 2θ 61.3, rel. 13
- 2θ 63.7, rel. 18
- 2θ 65.2, rel. 12

***

Record 3
This entry pairs a crystal structure of DySiGe2Ru2 with its simulated powder diffraction line list. Radiation: Cu Kα, 1.54184 Å. Structure: a structure optimized by DFT (PBE).

Structural model:
Cell lengths 4.4534, 4.4534, 5.5160 Å; angles 90.00, 90.00, 90.00 degrees
Space group P4/mmm (No. 123)
Inequivalent atoms, fractional coordinates:
Dy  0.0000  0.0000  0.0000 x1
Si  0.0000  0.0000  0.5000 x1
Ge  0.5000  0.5000  0.2242 x2
Ru  0.0000  0.5000  0.5000 x2

Main lines, in order of rising 2θ (2θ = 10–80°):
- 2θ 25.7, rel. 16
- 2θ 32.5, rel. 12
- 2θ 32.7, rel. 100
- 2θ 38.4, rel. 54
- 2θ 40.5, rel. 63
- 2θ 52.8, rel. 12
- 2θ 57.0, rel. 34
- 2θ 58.1, rel. 11
- 2θ 58.6, rel. 21
- 2θ 68.8, rel. 23

***

Record 4
This entry pairs a crystal structure of Dy8GeTe4S3 with its simulated powder diffraction line list. Radiation: Cu Kα, 1.54184 Å. Structure: a structure optimized by DFT (PBE).

Structural model:
Cell lengths 8.2085, 8.2085, 21.0501 Å; angles 90.00, 90.00, 120.00 degrees
Space group R-3m (No. 166, hexagonal axes)
Inequivalent atoms, fractional coordinates:
Dy  0.0000  0.0000  0.2349 x6
Dy  0.0024  0.5012  0.7633 x18
Ge  0.0000  0.0000  0.5000 x3
Te  0.0000  0.0000  0.0000 x3
Te  0.0000  0.5000  0.0000 x9
S  0.0000  0.5000  0.5000 x9

Main lines, in order of rising 2θ (2θ = 10–80°):
- 2θ 25.4, rel. 11
- 2θ 26.5, rel. 14
- 2θ 30.3, rel. 100
- 2θ 33.0, rel. 17
- 2θ 42.8, rel. 30
- 2θ 44.1, rel. 39
- 2θ 54.5, rel. 22
- 2θ 60.0, rel. 12
- 2θ 63.1, rel. 17
- 2θ 72.6, rel. 17

***

Record 5
This entry pairs a crystal structure of Dy3Tl3GeS8 with its simulated powder diffraction line list. Radiation: Cu Kα, 1.54184 Å. Structure: a structure optimized by DFT (PBE).

Structural model:
Cell lengths 7.8631, 7.8631, 22.8693 Å; angles 90.00, 90.00, 120.00 degrees
Space group R-3m (No. 166, hexagonal axes)
Inequivalent atoms, fractional coordinates:
Dy  0.0000  0.5000  0.0000 x9
Tl  0.0000  0.5000  0.5000 x9
Ge  0.0000  0.0000  0.0000 x3
S  0.0000  0.0000  0.2674 x6
S  0.0299  0.5149  0.7283 x18

Main lines, in order of rising 2θ (2θ = 10–80°):
- 2θ 15.1, rel. 21
- 2θ 23.3, rel. 32
- 2θ 27.3, rel. 55
- 2θ 30.6, rel. 100
- 2θ 41.2, rel. 38
- 2θ 46.2, rel. 32
- 2θ 47.9, rel. 18
- 2θ 52.4, rel. 23
- 2θ 56.4, rel. 17
- 2θ 68.6, rel. 14

***

Record 6
This entry pairs a crystal structure of DyGe2Se3 with its simulated powder diffraction line list. Radiation: Cu Kα, 1.54184 Å. Structure: a structure optimized by DFT (PBE).

Structural model:
Cell lengths 8.4138, 3.9855, 11.5732 Å; angles 90.00, 110.21, 90.00 degrees
Space group P2_1/m (No. 11)
Inequivalent atoms, fractional coordinates:
Dy  0.2027  0.2500  0.1889 x2
Ge  0.2507  0.7500  0.4692 x2
Ge  0.4731  0.7500  0.0579 x2
Se  0.0482  0.2500  0.3628 x2
Se  0.1636  0.7500  0.9964 x2
Se  0.4293  0.7500  0.3252 x2

Main lines, in order of rising 2θ (2θ = 10–80°):
- 2θ 11.4, rel. 100
- 2θ 16.0, rel. 80
- 2θ 27.6, rel. 47
- 2θ 27.8, rel. 33
- 2θ 32.1, rel. 55
- 2θ 32.4, rel. 31
- 2θ 33.0, rel. 28
- 2θ 39.6, rel. 57
- 2θ 45.5, rel. 30
- 2θ 49.9, rel. 34

***

Record 7
This entry pairs a crystal structure of Dy4Ge2Se with its simulated powder diffraction line list. Radiation: Cu Kα, 1.54184 Å. Structure: a structure optimized by DFT (PBE).

Structural model:
Cell lengths 8.7594, 8.7594, 8.8148 Å; angles 90.00, 90.00, 90.00 degrees
Space group I-42d (No. 122)
Inequivalent atoms, fractional coordinates:
Dy  0.0704  0.6843  0.4393 x16
Ge  0.1287  0.7500  0.1250 x8
Se  0.0000  0.0000  0.5000 x4

Main lines, in order of rising 2θ (2θ = 10–80°):
- 2θ 24.8, rel. 20
- 2θ 28.8, rel. 24
- 2θ 32.1, rel. 50
- 2θ 32.3, rel. 100
- 2θ 38.3, rel. 62
- 2θ 38.4, rel. 30
- 2θ 51.0, rel. 18
- 2θ 53.2, rel. 27
- 2θ 53.3, rel. 21
- 2θ 65.7, rel. 22

***

Record 8
This entry pairs a crystal structure of DyGe2Se4 with its simulated powder diffraction line list. Radiation: Cu Kα, 1.54184 Å. Structure: a structure optimized by DFT (PBE).

Structural model:
Cell lengths 7.6528, 7.6528, 6.8163 Å; angles 90.00, 90.00, 90.00 degrees
Space group I4/m (No. 87)
Inequivalent atoms, fractional coordinates:
Dy  0.0000  0.0000  0.0000 x2
Ge  0.0000  0.5000  0.2500 x4
Se  0.1840  0.6902  0.5000 x8

Main lines, in order of rising 2θ (2θ = 10–80°):
- 2θ 17.4, rel. 57
- 2θ 26.1, rel. 25
- 2θ 29.2, rel. 100
- 2θ 31.0, rel. 41
- 2θ 33.1, rel. 55
- 2θ 35.3, rel. 19
- 2θ 46.0, rel. 71
- 2θ 48.1, rel. 25
- 2θ 51.0, rel. 31
- 2θ 78.0, rel. 28

***

Record 9
This entry pairs a crystal structure of Dy2SiGe2 with its simulated powder diffraction line list. Radiation: Cu Kα, 1.54184 Å. Structure: a structure optimized by DFT (PBE).

Structural model:
Cell lengths 4.2627, 5.7490, 9.5666 Å; angles 77.51, 77.17, 68.25 degrees
Space group P-1 (No. 2)
Inequivalent atoms, fractional coordinates:
Dy  0.0210  0.1386  0.3212 x2
Dy  0.1809  0.2523  0.8846 x2
Si  0.3083  0.5642  0.3205 x2
Ge  0.3607  0.2267  0.5499 x2
Ge  0.4554  0.6956  0.8950 x2

Main lines, in order of rising 2θ (2θ = 10–80°):
- 2θ 31.4, rel. 25
- 2θ 32.3, rel. 86
- 2θ 32.8, rel. 85
- 2θ 33.9, rel. 57
- 2θ 34.1, rel. 100
- 2θ 37.7, rel. 51
- 2θ 38.9, rel. 38
- 2θ 42.4, rel. 52
- 2θ 51.3, rel. 25
- 2θ 55.4, rel. 27

***

Record 10
This entry pairs a crystal structure of Dy8SiGe5 with its simulated powder diffraction line list. Radiation: Cu Kα, 1.54184 Å. Structure: a structure optimized by DFT (PBE).

Structural model:
Cell lengths 8.8315, 8.8315, 8.8275 Å; angles 90.00, 90.00, 90.00 degrees
Space group I-4 (No. 82)
Inequivalent atoms, fractional coordinates:
Dy  0.0658  0.1836  0.1920 x8
Dy  0.0656  0.3146  0.5591 x8
Si  0.0000  0.0000  0.5000 x2
Ge  0.0000  0.5000  0.2500 x2
Ge  0.1249  0.2499  0.8754 x8

Main lines, in order of rising 2θ (2θ = 10–80°):
- 2θ 24.7, rel. 17
- 2θ 28.6, rel. 20
- 2θ 32.1, rel. 100
- 2θ 38.1, rel. 61
- 2θ 50.6, rel. 20
- 2θ 52.9, rel. 37
- 2θ 65.1, rel. 21
- 2θ 67.0, rel. 12
- 2θ 68.9, rel. 15
- 2θ 79.8, rel. 14

***

Record 11
This entry pairs a crystal structure of DySnGe with its simulated powder diffraction line list. Radiation: Cu Kα, 1.54184 Å. Structure: a structure optimized by DFT (PBE).

Structural model:
Cell lengths 4.3101, 16.3839, 4.0520 Å; angles 90.00, 90.00, 90.00 degrees
Space group Cmcm (No. 63)
Inequivalent atoms, fractional coordinates:
Dy  0.0000  0.0943  0.2500 x4
Sn  0.0000  0.2584  0.7500 x4
Ge  0.0000  0.4465  0.2500 x4

Main lines, in order of rising 2θ (2θ = 10–80°):
- 2θ 24.5, rel. 13
- 2θ 32.8, rel. 21
- 2θ 34.4, rel. 14
- 2θ 34.5, rel. 100
- 2θ 41.9, rel. 16
- 2θ 44.7, rel. 13
- 2θ 54.2, rel. 10
- 2θ 63.0, rel. 10
- 2θ 71.8, rel. 14
- 2θ 75.8, rel. 10

***

Record 12
This entry pairs a crystal structure of Tb3Dy3Ge4 with its simulated powder diffraction line list. Radiation: Cu Kα, 1.54184 Å. Structure: a structure optimized by DFT (PBE).

Structural model:
Cell lengths 4.2511, 10.7562, 10.7615 Å; angles 90.00, 90.00, 90.00 degrees
Space group Amm2 (No. 38)
Inequivalent atoms, fractional coordinates:
Tb  0.0000  0.0000  0.0000 x2
Tb  0.0000  0.1731  0.6726 x4
Dy  0.0000  0.0000  0.3457 x2
Dy  0.5000  0.2500  0.4227 x4
Ge  0.5000  0.0000  0.5474 x2
Ge  0.5000  0.0000  0.7973 x2
Ge  0.5000  0.1244  0.1731 x4

Main lines, in order of rising 2θ (2θ = 10–80°):
- 2θ 26.7, rel. 19
- 2θ 31.6, rel. 61
- 2θ 33.3, rel. 16
- 2θ 33.7, rel. 100
- 2θ 37.4, rel. 48
- 2θ 42.5, rel. 23
- 2θ 54.2, rel. 16
- 2θ 55.6, rel. 17
- 2θ 57.9, rel. 27
- 2θ 66.4, rel. 14

***

Record 13
This entry pairs a crystal structure of Tb5Dy2Ge4 with its simulated powder diffraction line list. Radiation: Cu Kα, 1.54184 Å. Structure: a structure optimized by DFT (PBE).

Structural model:
Cell lengths 29.1692, 4.4185, 4.4163 Å; angles 90.00, 98.61, 90.00 degrees
Space group C2/m (No. 12)
Inequivalent atoms, fractional coordinates:
Tb  0.0000  0.0000  0.0000 x2
Tb  0.1109  0.0000  0.6132 x4
Tb  0.2108  0.5000  0.7117 x4
Dy  0.1108  0.5000  0.1133 x4
Ge  0.0426  0.5000  0.5465 x4
Ge  0.1868  0.0000  0.1884 x4

Main lines, in order of rising 2θ (2θ = 10–80°):
- 2θ 29.6, rel. 24
- 2θ 31.0, rel. 19
- 2θ 31.2, rel. 100
- 2θ 34.2, rel. 24
- 2θ 38.1, rel. 27
- 2θ 40.0, rel. 17
- 2θ 40.9, rel. 48
- 2θ 52.2, rel. 18
- 2θ 59.2, rel. 16
- 2θ 68.4, rel. 21